# 1
Structure and computed XRD peak list of V6BC (a cell relaxed with GGA-PBE; λ = 1.5418 Å (Cu Kα)).
Kinematic intensities with the Lorentz-polarization factor, no thermal factor.

Cell lengths 4.6941, 4.8821, 5.1404 Å; angles 70.14, 70.91, 63.08 degrees
Space group P-1 (No. 2)
Unique sites:
V  0.0639  0.2666  0.2029 [2 per cell]
V  0.2728  0.0513  0.7145 [2 per cell]
V  0.4068  0.6078  0.2449 [2 per cell]
B  0.0000  0.5000  0.5000 [1 per cell]
C  0.5000  0.0000  0.0000 [1 per cell]

Top 10 peaks for 10 to 90 degrees two-theta, by angle:
h k l  two_theta  I/Imax
1 1 2  36.12  160
1 2 1  37.25  252
0 0 2  38.05  569
2 1 1  38.72  191
1 2 0  39.66  399
-1 1 1  40.64  560
1 -1 1  40.92  1000
1 2 2  44.28  241
2 1 2  45.69  233
1 2 -1  50.40  175


# 2
Structure and computed XRD peak list of CaMg2H24Cl6O12 (a cell relaxed with GGA-PBE; λ = 1.5418 Å (Cu Kα)).
Kinematic intensities with the Lorentz-polarization factor, no thermal factor.

Cell lengths 10.0745, 10.0745, 18.3648 Å; angles 90.00, 90.00, 120.00 degrees
Space group R-3 (No. 148, hexagonal axes)
Unique sites:
Ca  0.0000  0.0000  0.0000 [3 per cell]
Mg  0.0000  0.0000  0.3222 [6 per cell]
H  0.0104  0.8305  0.2030 [18 per cell]
H  0.0506  0.4495  0.0539 [18 per cell]
H  0.0618  0.5144  0.4090 [18 per cell]
H  0.0883  0.5690  0.2599 [18 per cell]
Cl  0.0136  0.7889  0.0901 [18 per cell]
O  0.0030  0.1701  0.3870 [18 per cell]
O  0.0133  0.1815  0.7439 [18 per cell]

Top 10 peaks for 10 to 90 degrees two-theta, by angle:
h k l  two_theta  I/Imax
1 0 1  11.23  264
0 0 3  14.47  400
1 1 3  22.86  552
3 -1 1  27.48  397
1 2 2  28.77  1000
0 0 6  29.18  319
2 1 4  33.46  388
1 2 5  36.62  265
4 -2 6  46.71  349
4 1 0  47.77  354


# 3
Structure and computed XRD peak list of LiPrSmAu (a cell relaxed with GGA-PBE; λ = 1.5418 Å (Cu Kα)).
Kinematic intensities with the Lorentz-polarization factor, no thermal factor.

Cell lengths 3.8186, 5.1673, 5.2061 Å; angles 90.00, 90.00, 90.00 degrees
Space group Pmmm (No. 47)
Unique sites:
Li  0.0000  0.0000  0.0000 [1 per cell]
Pr  0.5000  0.5000  0.0000 [1 per cell]
Sm  0.5000  0.0000  0.5000 [1 per cell]
Au  0.0000  0.5000  0.5000 [1 per cell]

Top 10 peaks for 10 to 90 degrees two-theta, by angle:
h k l  two_theta  I/Imax
0 0 1  17.03  212
0 1 0  17.16  178
1 1 0  29.04  226
1 1 1  33.89  1000
0 0 2  34.45  239
0 2 0  34.72  234
0 2 2  49.72  171
1 1 3  61.36  182
1 3 1  61.71  179
2 2 2  71.31  117


# 4
Structure and computed XRD peak list of RbBiBr3 (a cell relaxed with GGA-PBE; λ = 1.5418 Å (Cu Kα)).
Kinematic intensities with the Lorentz-polarization factor, no thermal factor.

Cell lengths 7.2899, 8.2623, 8.3233 Å; angles 114.18, 105.99, 93.91 degrees
Space group P-1 (No. 2)
Unique sites:
Rb  0.2305  0.2191  0.3618 [2 per cell]
Bi  0.5000  0.0000  0.0000 [1 per cell]
Bi  0.5000  0.5000  0.0000 [1 per cell]
Br  0.2253  0.1492  0.7846 [2 per cell]
Br  0.2287  0.6400  0.7845 [2 per cell]
Br  0.3245  0.6070  0.2845 [2 per cell]

Top 10 peaks for 10 to 90 degrees two-theta, by angle:
h k l  two_theta  I/Imax
0 0 1  12.36  692
1 0 0  12.91  1000
1 0 -1  14.61  864
1 0 1  20.71  371
1 0 -2  23.90  836
1 -2 1  24.81  432
2 0 -2  29.46  534
1 2 0  29.78  809
1 -2 2  30.45  765
0 4 -2  44.10  393


# 5
Structure and computed XRD peak list of Ho5Si6 (a cell relaxed with GGA-PBE; λ = 1.5418 Å (Cu Kα)).
Kinematic intensities with the Lorentz-polarization factor, no thermal factor.

Cell lengths 3.8294, 28.0349, 4.2228 Å; angles 90.00, 90.00, 90.00 degrees
Space group Cmmm (No. 65)
Unique sites:
Ho  0.0000  0.0000  0.0000 [2 per cell]
Ho  0.0000  0.1972  0.5000 [4 per cell]
Ho  0.0000  0.3858  0.0000 [4 per cell]
Si  0.0000  0.0942  0.5000 [4 per cell]
Si  0.0000  0.2784  0.0000 [4 per cell]
Si  0.0000  0.4586  0.5000 [4 per cell]

Top 10 peaks for 10 to 90 degrees two-theta, by angle:
h k l  two_theta  I/Imax
0 2 1  21.98  311
1 5 0  28.22  674
0 10 0  31.92  279
1 3 1  33.00  1000
0 8 1  33.22  590
1 7 1  38.91  182
0 0 2  42.83  243
1 5 2  52.08  255
1 13 1  53.37  249
2 8 1  59.18  227


# 6
Structure and computed XRD peak list of CeBe2P2 (a cell relaxed with GGA-PBE; λ = 1.5418 Å (Cu Kα)).
Kinematic intensities with the Lorentz-polarization factor, no thermal factor.

Cell lengths 3.7160, 3.7160, 13.4803 Å; angles 90.00, 90.00, 120.00 degrees
Space group P6_3/mmc (No. 194)
Unique sites:
Ce  0.0000  0.0000  0.2500 [2 per cell]
Be  0.3333  0.6667  0.0648 [4 per cell]
P  0.3333  0.6667  0.6027 [4 per cell]

Top 10 peaks for 10 to 90 degrees two-theta, by angle:
h k l  two_theta  I/Imax
0 0 2  13.14  639
1 0 0  27.72  287
1 0 2  30.79  1000
1 0 4  38.69  634
1 1 0  49.03  258
1 0 6  49.48  147
1 1 2  50.99  139
2 0 2  59.02  154
2 0 4  64.14  141
1 1 6  65.15  183


# 7
Structure and computed XRD peak list of Na2Li2Tl4Pb3 (a cell relaxed with GGA-PBE; λ = 1.5418 Å (Cu Kα)).
Kinematic intensities with the Lorentz-polarization factor, no thermal factor.

Cell lengths 5.3023, 5.3023, 13.0306 Å; angles 90.00, 90.00, 120.00 degrees
Space group P-3m1 (No. 164)
Unique sites:
Na  0.3333  0.6667  0.0873 [2 per cell]
Li  0.3333  0.6667  0.5948 [2 per cell]
Tl  0.3333  0.6667  0.3610 [2 per cell]
Tl  0.3333  0.6667  0.8361 [2 per cell]
Pb  0.0000  0.0000  0.2442 [2 per cell]
Pb  0.0000  0.0000  0.5000 [1 per cell]

Top 10 peaks for 10 to 90 degrees two-theta, by angle:
h k l  two_theta  I/Imax
0 0 2  13.59  125
0 0 3  20.49  77
0 1 2  23.71  414
1 1 0  33.77  1000
1 1 2  36.59  71
2 0 2  41.71  97
2 0 4  48.51  182
1 2 2  54.73  89
3 0 0  60.45  288
3 1 4  81.07  85


# 8
Structure and computed XRD peak list of YSb2PtI (a cell relaxed with GGA-PBE; λ = 1.5418 Å (Cu Kα)).
Kinematic intensities with the Lorentz-polarization factor, no thermal factor.

Cell lengths 5.2623, 5.2623, 5.4834 Å; angles 90.00, 90.00, 90.00 degrees
Space group P4/mmm (No. 123)
Unique sites:
Y  0.0000  0.0000  0.0000 [1 per cell]
Sb  0.0000  0.5000  0.5000 [2 per cell]
Pt  0.5000  0.5000  0.5000 [1 per cell]
I  0.5000  0.5000  0.0000 [1 per cell]

Top 10 peaks for 10 to 90 degrees two-theta, by angle:
h k l  two_theta  I/Imax
0 0 1  16.16  335
1 0 0  16.85  668
1 0 1  23.43  301
1 1 1  29.00  525
0 0 2  32.66  560
2 0 0  34.08  1000
1 0 2  36.97  194
2 0 2  47.92  761
2 2 0  48.96  357
2 2 2  60.10  384